[1]
Structure and simulated powder diffractogram of Ba2PmI2N2 (a structure optimized by DFT (PBE); Cu Kα, 1.54184 Å).
Intensities are scaled so that the largest is 100.

Main lines, sorted by position (10° ≤ 2θ ≤ 80°):
| d/Å | 2θ/deg | Rel. int. |
| --- | --- | --- |
| 3.341 | 26.68 | 81 |
| 2.966 | 30.13 | 100 |
| 2.361 | 38.12 | 53 |
| 1.848 | 49.32 | 50 |
| 1.670 | 55.00 | 24 |
| 1.655 | 55.54 | 7 |
| 1.494 | 62.12 | 20 |
| 1.455 | 63.97 | 11 |
| 1.434 | 65.06 | 8 |
| 1.239 | 76.95 | 14 |

Crystal structure
Lattice parameters (Å, degrees): 10.093 10.093 10.093 152.93 152.93 38.66
Positions (direct):
Ba (0.095, 0.095, 0.000)
Ba (0.905, 0.905, 0.000)
Pm (0.500, 0.500, 0.000)
I (0.326, 0.326, 0.000)
I (0.674, 0.674, 0.000)
N (0.000, 0.500, 0.500)
N (0.500, 0.000, 0.500)

=====

[2]
Structure and simulated powder diffractogram of Sm8Y2Tl (a structure optimized by DFT (PBE); Cu Kα, 1.54184 Å).
Intensities are scaled so that the largest is 100.

Main lines, sorted by position (10° ≤ 2θ ≤ 80°):
| d/Å | 2θ/deg | Rel. int. |
| --- | --- | --- |
| 3.994 | 22.26 | 8 |
| 3.132 | 28.50 | 7 |
| 2.958 | 30.21 | 13 |
| 2.914 | 30.68 | 13 |
| 2.771 | 32.31 | 100 |
| 2.009 | 45.13 | 9 |
| 1.912 | 47.56 | 7 |
| 1.600 | 57.60 | 19 |
| 1.574 | 58.64 | 7 |
| 1.566 | 58.98 | 7 |

Crystal structure
Lattice parameters (Å, degrees): 9.937 9.937 9.937 147.58 134.74 56.77
Positions (direct):
Sm (0.134, 0.363, 0.771)
Sm (0.180, 0.180, 0.000)
Sm (0.261, 0.000, 0.261)
Sm (0.408, 0.637, 0.771)
Sm (0.592, 0.363, 0.229)
Sm (0.739, 0.000, 0.739)
Sm (0.820, 0.820, 0.000)
Sm (0.866, 0.637, 0.229)
Y (0.307, 0.807, 0.500)
Y (0.693, 0.193, 0.500)
Tl (0.000, 0.500, 0.500)

=====

[3]
Structure and simulated powder diffractogram of RbLi (a structure optimized by DFT (PBE); Cu Kα, 1.54184 Å).
Intensities are scaled so that the largest is 100.

Main lines, sorted by position (10° ≤ 2θ ≤ 80°):
| d/Å | 2θ/deg | Rel. int. |
| --- | --- | --- |
| 5.485 | 16.16 | 31 |
| 4.023 | 22.09 | 100 |
| 3.657 | 24.34 | 19 |
| 3.398 | 26.22 | 25 |
| 3.058 | 29.20 | 32 |
| 2.672 | 33.53 | 16 |
| 2.342 | 38.43 | 12 |
| 2.317 | 38.86 | 17 |
| 2.162 | 41.77 | 12 |
| 1.905 | 47.75 | 25 |

Crystal structure
Lattice parameters (Å, degrees): 4.324 4.325 10.970 89.94 89.76 89.99
Positions (direct):
Rb (0.244, 0.248, 0.305)
Rb (0.756, 0.752, 0.695)
Li (0.251, 0.250, 0.960)
Li (0.749, 0.750, 0.040)

=====

[4]
Structure and simulated powder diffractogram of PmNdTe2O (a structure optimized by DFT (PBE); Cu Kα, 1.54184 Å).
Intensities are scaled so that the largest is 100.

Main lines, sorted by position (10° ≤ 2θ ≤ 80°):
| d/Å | 2θ/deg | Rel. int. |
| --- | --- | --- |
| 4.100 | 21.68 | 17 |
| 4.078 | 21.79 | 17 |
| 3.342 | 26.68 | 48 |
| 2.995 | 29.83 | 100 |
| 2.585 | 34.70 | 79 |
| 2.414 | 37.25 | 24 |
| 2.118 | 42.69 | 42 |
| 1.638 | 56.15 | 40 |
| 1.339 | 70.28 | 17 |
| 1.295 | 73.06 | 16 |

Crystal structure
Lattice parameters (Å, degrees): 4.236 4.236 16.314 90.00 90.00 90.00
Positions (direct):
Pm (0.250, 0.250, 0.066)
Pm (0.750, 0.750, 0.934)
Nd (0.250, 0.250, 0.638)
Nd (0.750, 0.750, 0.362)
Te (0.250, 0.250, 0.418)
Te (0.250, 0.250, 0.819)
Te (0.750, 0.750, 0.181)
Te (0.750, 0.750, 0.582)
O (0.250, 0.750, 0.000)
O (0.750, 0.250, 0.000)

=====

[5]
Structure and simulated powder diffractogram of SrTl6Sn2 (a structure optimized by DFT (PBE); Cu Kα, 1.54184 Å).
Intensities are scaled so that the largest is 100.

Main lines, sorted by position (10° ≤ 2θ ≤ 80°):
| d/Å | 2θ/deg | Rel. int. |
| --- | --- | --- |
| 3.028 | 29.50 | 100 |
| 2.871 | 31.15 | 40 |
| 2.742 | 32.66 | 29 |
| 2.733 | 32.77 | 36 |
| 2.717 | 32.97 | 16 |
| 2.672 | 33.54 | 36 |
| 2.541 | 35.32 | 16 |
| 2.386 | 37.70 | 15 |
| 1.707 | 53.69 | 18 |
| 1.662 | 55.28 | 18 |

Crystal structure
Lattice parameters (Å, degrees): 9.109 9.109 9.109 113.57 108.15 106.77
Positions (direct):
Sr (0.000, 0.000, 0.000)
Sr (0.500, 0.500, 0.000)
Tl (0.081, 0.812, 0.269)
Tl (0.216, 0.303, 0.519)
Tl (0.216, 0.697, 0.913)
Tl (0.245, 0.032, 0.787)
Tl (0.245, 0.458, 0.213)
Tl (0.456, 0.188, 0.269)
Tl (0.544, 0.812, 0.731)
Tl (0.755, 0.542, 0.787)
Tl (0.755, 0.968, 0.213)
Tl (0.784, 0.303, 0.087)
Tl (0.784, 0.697, 0.481)
Tl (0.919, 0.188, 0.731)
Sn (0.137, 0.637, 0.500)
Sn (0.500, 0.146, 0.646)
Sn (0.500, 0.854, 0.354)
Sn (0.863, 0.363, 0.500)

=====

[6]
Structure and simulated powder diffractogram of MnSi23 (a structure optimized by DFT (PBE); Cu Kα, 1.54184 Å).
Intensities are scaled so that the largest is 100.

Main lines, sorted by position (10° ≤ 2θ ≤ 80°):
| d/Å | 2θ/deg | Rel. int. |
| --- | --- | --- |
| 7.225 | 12.25 | 53 |
| 4.569 | 19.43 | 60 |
| 2.731 | 32.80 | 100 |
| 2.478 | 36.25 | 20 |
| 2.408 | 37.34 | 23 |
| 2.230 | 40.46 | 19 |
| 1.752 | 52.20 | 32 |
| 1.727 | 53.03 | 17 |
| 1.703 | 53.84 | 21 |
| 1.657 | 55.44 | 44 |

Crystal structure
Lattice parameters (Å, degrees): 10.217 10.217 10.217 90.00 90.00 90.00
Positions (direct):
Mn (0.000, 0.000, 0.000)
Mn (0.500, 0.500, 0.500)
Si (0.000, 0.117, 0.308)
Si (0.000, 0.117, 0.692)
Si (0.000, 0.250, 0.500)
Si (0.000, 0.750, 0.500)
Si (0.000, 0.883, 0.308)
Si (0.000, 0.883, 0.692)
Si (0.117, 0.308, 0.000)
Si (0.117, 0.692, 0.000)
Si (0.183, 0.183, 0.183)
Si (0.183, 0.183, 0.817)
Si (0.183, 0.817, 0.183)
Si (0.183, 0.817, 0.817)
Si (0.192, 0.383, 0.500)
Si (0.192, 0.617, 0.500)
Si (0.250, 0.500, 0.000)
Si (0.308, 0.000, 0.117)
Si (0.308, 0.000, 0.883)
Si (0.317, 0.317, 0.317)
Si (0.317, 0.317, 0.683)
Si (0.317, 0.683, 0.317)
Si (0.317, 0.683, 0.683)
Si (0.383, 0.500, 0.192)
Si (0.383, 0.500, 0.808)
Si (0.500, 0.000, 0.250)
Si (0.500, 0.000, 0.750)
Si (0.500, 0.192, 0.383)
Si (0.500, 0.192, 0.617)
Si (0.500, 0.808, 0.383)
Si (0.500, 0.808, 0.617)
Si (0.617, 0.500, 0.192)
Si (0.617, 0.500, 0.808)
Si (0.683, 0.317, 0.317)
Si (0.683, 0.317, 0.683)
Si (0.683, 0.683, 0.317)
Si (0.683, 0.683, 0.683)
Si (0.692, 0.000, 0.117)
Si (0.692, 0.000, 0.883)
Si (0.750, 0.500, 0.000)
Si (0.808, 0.383, 0.500)
Si (0.808, 0.617, 0.500)
Si (0.817, 0.183, 0.183)
Si (0.817, 0.183, 0.817)
Si (0.817, 0.817, 0.183)
Si (0.817, 0.817, 0.817)
Si (0.883, 0.308, 0.000)
Si (0.883, 0.692, 0.000)

=====

[7]
Structure and simulated powder diffractogram of Hf3Sc (a structure optimized by DFT (PBE); Cu Kα, 1.54184 Å).
Intensities are scaled so that the largest is 100.

Main lines, sorted by position (10° ≤ 2θ ≤ 80°):
| d/Å | 2θ/deg | Rel. int. |
| --- | --- | --- |
| 5.592 | 15.85 | 14 |
| 2.781 | 32.18 | 28 |
| 2.523 | 35.58 | 36 |
| 2.446 | 36.74 | 52 |
| 2.436 | 36.90 | 100 |
| 1.869 | 48.72 | 18 |
| 1.611 | 57.16 | 20 |
| 1.439 | 64.76 | 19 |
| 1.358 | 69.17 | 21 |
| 1.341 | 70.20 | 16 |

Crystal structure
Lattice parameters (Å, degrees): 3.206 5.047 5.592 90.00 90.00 90.00
Positions (direct):
Hf (0.000, 0.000, 0.000)
Hf (0.000, 0.500, 0.329)
Hf (0.500, 0.500, 0.835)
Sc (0.500, 0.000, 0.504)

=====

[8]
Structure and simulated powder diffractogram of PrNdSmTh2 (a structure optimized by DFT (PBE); Cu Kα, 1.54184 Å).
Intensities are scaled so that the largest is 100.

Main lines, sorted by position (10° ≤ 2θ ≤ 80°):
| d/Å | 2θ/deg | Rel. int. |
| --- | --- | --- |
| 8.031 | 11.02 | 20 |
| 3.105 | 28.75 | 100 |
| 2.677 | 33.48 | 14 |
| 2.663 | 33.66 | 20 |
| 2.580 | 34.77 | 42 |
| 2.381 | 37.79 | 41 |
| 1.779 | 51.36 | 18 |
| 1.683 | 54.51 | 14 |
| 1.480 | 62.79 | 23 |
| 1.410 | 66.30 | 13 |

Crystal structure
Lattice parameters (Å, degrees): 8.708 8.708 6.733 90.00 90.00 134.51
Positions (direct):
Pr (0.151, 0.849, 0.750)
Pr (0.849, 0.151, 0.250)
Nd (0.347, 0.653, 0.750)
Nd (0.653, 0.347, 0.250)
Sm (0.281, 0.719, 0.250)
Sm (0.719, 0.281, 0.750)
Th (0.254, 0.254, 0.000)
Th (0.254, 0.254, 0.500)
Th (0.746, 0.746, 0.000)
Th (0.746, 0.746, 0.500)

=====

[9]
Structure and simulated powder diffractogram of Ac2In3Ir (a structure optimized by DFT (PBE); Cu Kα, 1.54184 Å).
Intensities are scaled so that the largest is 100.

Main lines, sorted by position (10° ≤ 2θ ≤ 80°):
| d/Å | 2θ/deg | Rel. int. |
| --- | --- | --- |
| 8.581 | 10.31 | 13 |
| 2.989 | 29.89 | 100 |
| 2.472 | 36.35 | 31 |
| 2.456 | 36.58 | 20 |
| 2.092 | 43.26 | 12 |
| 1.899 | 47.90 | 18 |
| 1.597 | 57.74 | 16 |
| 1.592 | 57.91 | 11 |
| 1.501 | 61.79 | 9 |
| 1.326 | 71.12 | 10 |

Crystal structure
Lattice parameters (Å, degrees): 4.183 4.912 8.581 90.00 90.00 90.00
Positions (direct):
Ac (0.000, 0.000, 0.000)
Ac (0.000, 0.500, 0.428)
In (0.500, 0.000, 0.602)
In (0.500, 0.500, 0.126)
In (0.500, 0.500, 0.784)
Ir (0.500, 0.000, 0.274)

=====

[10]
Structure and simulated powder diffractogram of LaHo5Cu6 (a structure optimized by DFT (PBE); Cu Kα, 1.54184 Å).
Intensities are scaled so that the largest is 100.

Main lines, sorted by position (10° ≤ 2θ ≤ 80°):
| d/Å | 2θ/deg | Rel. int. |
| --- | --- | --- |
| 3.500 | 25.45 | 26 |
| 3.463 | 25.72 | 13 |
| 2.481 | 36.21 | 34 |
| 2.466 | 36.44 | 100 |
| 2.460 | 36.53 | 66 |
| 1.753 | 52.17 | 12 |
| 1.747 | 52.38 | 12 |
| 1.430 | 65.25 | 12 |
| 1.425 | 65.49 | 12 |
| 1.423 | 65.62 | 12 |

Crystal structure
Lattice parameters (Å, degrees): 4.938 6.927 7.833 90.00 108.16 90.00
Positions (direct):
La (0.000, 0.000, 0.000)
Ho (0.000, 0.500, 0.000)
Ho (0.331, 0.000, 0.662)
Ho (0.335, 0.500, 0.669)
Ho (0.665, 0.500, 0.331)
Ho (0.669, 0.000, 0.338)
Cu (0.172, 0.256, 0.344)
Cu (0.172, 0.744, 0.344)
Cu (0.500, 0.267, 0.000)
Cu (0.500, 0.733, 0.000)
Cu (0.828, 0.256, 0.656)
Cu (0.828, 0.744, 0.656)

=====

[11]
Structure and simulated powder diffractogram of Sm2SbIr (a structure optimized by DFT (PBE); Cu Kα, 1.54184 Å).
Intensities are scaled so that the largest is 100.

Main lines, sorted by position (10° ≤ 2θ ≤ 80°):
| d/Å | 2θ/deg | Rel. int. |
| --- | --- | --- |
| 2.943 | 30.37 | 82 |
| 2.902 | 30.81 | 100 |
| 2.869 | 31.18 | 55 |
| 2.404 | 37.41 | 68 |
| 2.387 | 37.68 | 49 |
| 2.340 | 38.47 | 60 |
| 2.153 | 41.96 | 47 |
| 2.122 | 42.62 | 34 |
| 1.722 | 53.19 | 24 |
| 1.511 | 61.37 | 36 |

Crystal structure
Lattice parameters (Å, degrees): 6.199 4.306 8.408 90.00 110.79 90.00
Positions (direct):
Sm (0.170, 0.250, 0.400)
Sm (0.253, 0.750, 0.049)
Sm (0.747, 0.250, 0.951)
Sm (0.830, 0.750, 0.600)
Sb (0.382, 0.750, 0.708)
Sb (0.618, 0.250, 0.292)
Ir (0.123, 0.250, 0.791)
Ir (0.877, 0.750, 0.209)

=====

[12]
Structure and simulated powder diffractogram of Sr2Sn6Rh9 (a structure optimized by DFT (PBE); Cu Kα, 1.54184 Å).
Intensities are scaled so that the largest is 100.

Main lines, sorted by position (10° ≤ 2θ ≤ 80°):
| d/Å | 2θ/deg | Rel. int. |
| --- | --- | --- |
| 5.141 | 17.25 | 68 |
| 2.968 | 30.11 | 24 |
| 2.570 | 34.91 | 27 |
| 2.395 | 37.55 | 100 |
| 2.171 | 41.59 | 85 |
| 2.029 | 44.67 | 20 |
| 1.887 | 48.23 | 21 |
| 1.579 | 58.47 | 28 |
| 1.484 | 62.60 | 29 |
| 1.403 | 66.65 | 16 |

Crystal structure
Lattice parameters (Å, degrees): 5.936 5.936 12.171 90.00 90.00 120.00
Positions (direct):
Sr (0.000, 0.000, 0.219)
Sr (0.000, 0.000, 0.781)
Sn (0.333, 0.667, 0.165)
Sn (0.333, 0.667, 0.500)
Sn (0.333, 0.667, 0.835)
Sn (0.667, 0.333, 0.165)
Sn (0.667, 0.333, 0.500)
Sn (0.667, 0.333, 0.835)
Rh (0.000, 0.500, 0.000)
Rh (0.000, 0.500, 0.332)
Rh (0.000, 0.500, 0.668)
Rh (0.500, 0.000, 0.000)
Rh (0.500, 0.000, 0.332)
Rh (0.500, 0.000, 0.668)
Rh (0.500, 0.500, 0.000)
Rh (0.500, 0.500, 0.332)
Rh (0.500, 0.500, 0.668)

=====

[13]
Structure and simulated powder diffractogram of Ba2YCu3SO6 (a structure optimized by DFT (PBE); Cu Kα, 1.54184 Å).
Intensities are scaled so that the largest is 100.

Main lines, sorted by position (10° ≤ 2θ ≤ 80°):
| d/Å | 2θ/deg | Rel. int. |
| --- | --- | --- |
| 3.242 | 27.51 | 25 |
| 2.924 | 30.57 | 74 |
| 2.810 | 31.85 | 100 |
| 2.795 | 32.02 | 92 |
| 2.477 | 36.26 | 28 |
| 2.467 | 36.41 | 24 |
| 2.079 | 43.53 | 45 |
| 1.906 | 47.72 | 30 |
| 1.668 | 55.05 | 42 |
| 1.597 | 57.75 | 24 |

Crystal structure
Lattice parameters (Å, degrees): 3.811 4.158 12.337 90.00 90.00 90.00
Positions (direct):
Ba (0.000, 0.000, 0.203)
Ba (0.000, 0.000, 0.797)
Y (0.000, 0.000, 0.500)
Cu (0.500, 0.500, 0.000)
Cu (0.500, 0.500, 0.369)
Cu (0.500, 0.500, 0.631)
S (0.500, 0.000, 0.000)
O (0.000, 0.500, 0.387)
O (0.000, 0.500, 0.613)
O (0.500, 0.000, 0.381)
O (0.500, 0.000, 0.619)
O (0.500, 0.500, 0.155)
O (0.500, 0.500, 0.845)